Record 1
# V4Ag2O11
Calculated powder XRD pattern, Cu Ka. Input: a DFT-relaxed cell (PBE+U, Alexandria).
Peak positions follow from Bragg's law for the DFT cell and can differ from measured ones.

Cell and atoms:
```
data_V4Ag2O11
_chemical_formula_sum 'V4 Ag2 O11'
_cell_length_a 7.9868
_cell_length_b 7.9868
_cell_length_c 9.5792
_cell_angle_alpha 125.88
_cell_angle_beta 125.88
_cell_angle_gamma 26.17
_symmetry_space_group_name_H-M 'P 1'
_symmetry_Int_Tables_number 1
loop_
_symmetry_equiv_pos_as_xyz
'x,y,z'
loop_
_atom_site_label
_atom_site_type_symbol
_atom_site_fract_x
_atom_site_fract_y
_atom_site_fract_z
_atom_site_occupancy
V1 V 0.1351 0.1351 0.4239 1
V2 V 0.3544 0.3544 0.8484 1
V3 V 0.6456 0.6456 0.1516 1
V4 V 0.8649 0.8649 0.5761 1
Ag1 Ag 0.3828 0.3828 0.2724 1
Ag2 Ag 0.6172 0.6172 0.7276 1
O1 O 0.0025 0.0025 0.3199 1
O2 O 0.1509 0.1509 0.2187 1
O3 O 0.1852 0.1852 0.6467 1
O4 O 0.3240 0.3240 0.9853 1
O5 O 0.3346 0.3346 0.5895 1
O6 O 0.5000 0.5000 0.0000 1
O7 O 0.6654 0.6654 0.4105 1
O8 O 0.6760 0.6760 0.0147 1
O9 O 0.8148 0.8148 0.3533 1
O10 O 0.8491 0.8491 0.7813 1
O11 O 0.9975 0.9975 0.6801 1
```

Most intense lines, 2θ = 10–90°, low angle first:
d_spacing	I_rel
3.825	21
3.106	100
2.979	25
2.964	47
2.805	43
2.380	20
1.808	23
1.761	17
1.693	23
1.563	23

---

Record 2
# V4Ag3O12
Calculated powder XRD pattern, Cu Ka. Input: a DFT-relaxed cell (PBE+U, Alexandria).
Peak positions follow from Bragg's law for the DFT cell and can differ from measured ones.

Cell and atoms:
```
data_V4Ag3O12
_chemical_formula_sum 'V8 Ag6 O24'
_cell_length_a 7.2298
_cell_length_b 8.9462
_cell_length_c 9.0092
_cell_angle_alpha 73.64
_cell_angle_beta 80.47
_cell_angle_gamma 67.54
_symmetry_space_group_name_H-M 'P 1'
_symmetry_Int_Tables_number 1
loop_
_symmetry_equiv_pos_as_xyz
'x,y,z'
loop_
_atom_site_label
_atom_site_type_symbol
_atom_site_fract_x
_atom_site_fract_y
_atom_site_fract_z
_atom_site_occupancy
V1 V 0.0000 0.0000 0.0000 1
V2 V 0.0114 0.8059 0.3809 1
V3 V 0.1120 0.3356 0.8980 1
V4 V 0.1298 0.1385 0.2717 1
V5 V 0.4984 0.9961 0.0048 1
V6 V 0.5147 0.8054 0.3822 1
V7 V 0.6168 0.3326 0.8941 1
V8 V 0.6310 0.1360 0.2706 1
Ag1 Ag 0.3105 0.0655 0.6410 1
Ag2 Ag 0.3888 0.4462 0.5544 1
Ag3 Ag 0.3906 0.6080 0.1229 1
Ag4 Ag 0.7362 0.6920 0.7243 1
Ag5 Ag 0.8168 0.0665 0.6390 1
Ag6 Ag 0.9010 0.4399 0.5309 1
O1 O 0.0523 0.9649 0.8214 1
O2 O 0.0662 0.3253 0.1441 1
O3 O 0.0771 0.1811 0.4511 1
O4 O 0.0823 0.8068 0.1267 1
O5 O 0.1189 0.5935 0.4110 1
O6 O 0.1685 0.3101 0.7012 1
O7 O 0.2160 0.0666 0.0203 1
O8 O 0.2407 0.8682 0.3524 1
O9 O 0.3830 0.2809 0.9312 1
O10 O 0.4157 0.0696 0.2517 1
O11 O 0.4815 0.8322 0.5721 1
O12 O 0.5476 0.5410 0.8692 1
O13 O 0.5500 0.8031 0.1255 1
O14 O 0.5511 0.9625 0.8231 1
O15 O 0.5628 0.3307 0.1486 1
O16 O 0.5776 0.1715 0.4505 1
O17 O 0.5998 0.5933 0.4153 1
O18 O 0.6649 0.3130 0.6985 1
O19 O 0.7136 0.0624 0.0236 1
O20 O 0.7472 0.8612 0.3277 1
O21 O 0.8891 0.2623 0.9331 1
O22 O 0.9152 0.0697 0.2554 1
O23 O 0.9381 0.8287 0.5701 1
O24 O 0.9931 0.5417 0.8646 1
```

Most intense lines, 2θ = 10–90°, low angle first:
d_spacing	I_rel
8.626	46
5.871	23
3.178	82
2.939	100
2.764	60
2.749	70
2.725	62
2.641	67
1.806	41
1.717	34

---

Record 3
# V3AgO7
Calculated powder XRD pattern, Cu Ka. Input: a DFT-relaxed cell (PBE+U, Alexandria).
Peak positions follow from Bragg's law for the DFT cell and can differ from measured ones.

Cell and atoms:
```
data_V3AgO7
_chemical_formula_sum 'V3 Ag1 O7'
_cell_length_a 5.7872
_cell_length_b 5.9332
_cell_length_c 6.4884
_cell_angle_alpha 81.49
_cell_angle_beta 84.19
_cell_angle_gamma 66.48
_symmetry_space_group_name_H-M 'P 1'
_symmetry_Int_Tables_number 1
loop_
_symmetry_equiv_pos_as_xyz
'x,y,z'
loop_
_atom_site_label
_atom_site_type_symbol
_atom_site_fract_x
_atom_site_fract_y
_atom_site_fract_z
_atom_site_occupancy
V1 V 0.0000 0.0000 0.0000 1
V2 V 0.0276 0.0442 0.4854 1
V3 V 0.9362 0.6558 0.3864 1
Ag1 Ag 0.4582 0.4441 0.7335 1
O1 O 0.1457 0.0651 0.1941 1
O2 O 0.1709 0.9630 0.7588 1
O3 O 0.2122 0.6378 0.4802 1
O4 O 0.7096 0.2182 0.9667 1
O5 O 0.7457 0.9431 0.4725 1
O6 O 0.8563 0.4079 0.4878 1
O7 O 0.9670 0.7077 0.1060 1
```

Most intense lines, 2θ = 10–90°, low angle first:
d_spacing	I_rel
6.410	41
4.846	100
4.394	62
4.179	83
3.995	50
3.616	33
3.209	40
2.912	54
2.801	33
2.688	38

---

Record 4
# VAg2O5
Calculated powder XRD pattern, Cu Ka. Input: a DFT-relaxed cell (PBE+U, Alexandria).
Peak positions follow from Bragg's law for the DFT cell and can differ from measured ones.

Cell and atoms:
```
data_VAg2O5
_chemical_formula_sum 'V2 Ag4 O10'
_cell_length_a 5.8232
_cell_length_b 5.8232
_cell_length_c 10.2777
_cell_angle_alpha 90.00
_cell_angle_beta 90.00
_cell_angle_gamma 139.83
_symmetry_space_group_name_H-M 'P 1'
_symmetry_Int_Tables_number 1
loop_
_symmetry_equiv_pos_as_xyz
'x,y,z'
loop_
_atom_site_label
_atom_site_type_symbol
_atom_site_fract_x
_atom_site_fract_y
_atom_site_fract_z
_atom_site_occupancy
V1 V 0.1908 0.8092 0.7500 1
V2 V 0.8092 0.1908 0.2500 1
Ag1 Ag 0.1484 0.8516 0.0805 1
Ag2 Ag 0.1484 0.8516 0.4195 1
Ag3 Ag 0.8516 0.1484 0.5805 1
Ag4 Ag 0.8516 0.1484 0.9195 1
O1 O 0.0919 0.9081 0.6195 1
O2 O 0.0919 0.9081 0.8805 1
O3 O 0.2661 0.7339 0.2500 1
O4 O 0.3399 0.6601 0.6242 1
O5 O 0.3399 0.6601 0.8758 1
O6 O 0.6601 0.3399 0.1242 1
O7 O 0.6601 0.3399 0.3758 1
O8 O 0.7339 0.2661 0.7500 1
O9 O 0.9081 0.0919 0.1195 1
O10 O 0.9081 0.0919 0.3805 1
```

Most intense lines, 2θ = 10–90°, low angle first:
d_spacing	I_rel
5.469	57
3.756	83
2.903	100
2.735	30
2.695	65
2.531	67
2.137	30
2.000	33
1.674	33
1.647	34

---

Record 5
# VAgO4
Calculated powder XRD pattern, Cu Ka. Input: a DFT-relaxed cell (PBE+U, Alexandria).
Peak positions follow from Bragg's law for the DFT cell and can differ from measured ones.

Cell and atoms:
```
data_VAgO4
_chemical_formula_sum 'V2 Ag2 O8'
_cell_length_a 6.8643
_cell_length_b 6.8643
_cell_length_c 5.1605
_cell_angle_alpha 103.29
_cell_angle_beta 103.29
_cell_angle_gamma 127.73
_symmetry_space_group_name_H-M 'P 1'
_symmetry_Int_Tables_number 1
loop_
_symmetry_equiv_pos_as_xyz
'x,y,z'
loop_
_atom_site_label
_atom_site_type_symbol
_atom_site_fract_x
_atom_site_fract_y
_atom_site_fract_z
_atom_site_occupancy
V1 V 0.0828 0.9172 0.7500 1
V2 V 0.9172 0.0828 0.2500 1
Ag1 Ag 0.4267 0.5733 0.2500 1
Ag2 Ag 0.5733 0.4267 0.7500 1
O1 O 0.0347 0.3754 0.2111 1
O2 O 0.1803 0.2587 0.6720 1
O3 O 0.2587 0.1803 0.1720 1
O4 O 0.3754 0.0347 0.7111 1
O5 O 0.6246 0.9653 0.2889 1
O6 O 0.7413 0.8197 0.8280 1
O7 O 0.8197 0.7413 0.3280 1
O8 O 0.9653 0.6246 0.7889 1
```

Most intense lines, 2θ = 10–90°, low angle first:
d_spacing	I_rel
6.163	95
4.758	17
3.582	100
2.708	32
2.524	17
2.201	26
2.155	47
1.607	13
1.583	13
1.501	17

---

Record 6
# V2AgWO8
Calculated powder XRD pattern, Cu Ka. Input: a DFT-relaxed cell (PBE+U, Alexandria).
Peak positions follow from Bragg's law for the DFT cell and can differ from measured ones.

Cell and atoms:
```
data_V2AgWO8
_chemical_formula_sum 'V2 Ag1 W1 O8'
_cell_length_a 5.8462
_cell_length_b 5.8462
_cell_length_c 5.8462
_cell_angle_alpha 105.52
_cell_angle_beta 105.52
_cell_angle_gamma 117.71
_symmetry_space_group_name_H-M 'P 1'
_symmetry_Int_Tables_number 1
loop_
_symmetry_equiv_pos_as_xyz
'x,y,z'
loop_
_atom_site_label
_atom_site_type_symbol
_atom_site_fract_x
_atom_site_fract_y
_atom_site_fract_z
_atom_site_occupancy
V1 V 0.0000 0.0000 0.0000 1
V2 V 0.7500 0.2500 0.5000 1
Ag1 Ag 0.5000 0.5000 0.0000 1
W1 W 0.2500 0.7500 0.5000 1
O1 O 0.0586 0.8476 0.2110 1
O2 O 0.1302 0.4564 0.6739 1
O3 O 0.1524 0.3635 0.2110 1
O4 O 0.1524 0.9414 0.7890 1
O5 O 0.5436 0.2175 0.6739 1
O6 O 0.5436 0.8698 0.3261 1
O7 O 0.6365 0.8476 0.7890 1
O8 O 0.7825 0.4564 0.3261 1
```

Most intense lines, 2θ = 10–90°, low angle first:
d_spacing	I_rel
4.597	46
3.538	100
2.804	14
2.588	66
2.502	20
2.197	14
1.799	56
1.769	16
1.582	14
1.460	17

---

Record 7
# VAgWO6
Calculated powder XRD pattern, Cu Ka. Input: a DFT-relaxed cell (PBE+U, Alexandria).
Peak positions follow from Bragg's law for the DFT cell and can differ from measured ones.

Cell and atoms:
```
data_VAgWO6
_chemical_formula_sum 'V2 Ag2 W2 O12'
_cell_length_a 5.1381
_cell_length_b 5.1381
_cell_length_c 10.2392
_cell_angle_alpha 90.00
_cell_angle_beta 90.00
_cell_angle_gamma 120.00
_symmetry_space_group_name_H-M 'P 1'
_symmetry_Int_Tables_number 1
loop_
_symmetry_equiv_pos_as_xyz
'x,y,z'
loop_
_atom_site_label
_atom_site_type_symbol
_atom_site_fract_x
_atom_site_fract_y
_atom_site_fract_z
_atom_site_occupancy
V1 V 0.3333 0.6667 0.2500 1
V2 V 0.6667 0.3333 0.7500 1
Ag1 Ag 0.0000 0.0000 0.0000 1
Ag2 Ag 0.0000 0.0000 0.5000 1
W1 W 0.3333 0.6667 0.7500 1
W2 W 0.6667 0.3333 0.2500 1
O1 O 0.0061 0.3821 0.1452 1
O2 O 0.0061 0.6240 0.3548 1
O3 O 0.3760 0.3821 0.3548 1
O4 O 0.3760 0.9939 0.1452 1
O5 O 0.3821 0.0061 0.6452 1
O6 O 0.3821 0.3760 0.8548 1
O7 O 0.6179 0.6240 0.1452 1
O8 O 0.6179 0.9939 0.3548 1
O9 O 0.6240 0.0061 0.8548 1
O10 O 0.6240 0.6179 0.6452 1
O11 O 0.9939 0.3760 0.6452 1
O12 O 0.9939 0.6179 0.8548 1
```

Most intense lines, 2θ = 10–90°, low angle first:
d_spacing	I_rel
5.120	18
4.081	35
3.358	100
2.708	13
2.569	40
2.041	22
1.813	45
1.598	22
1.483	13
1.284	14

---

Record 8
# Ag2WO4
Calculated powder XRD pattern, Cu Ka. Input: a DFT-relaxed cell (PBE+U, Alexandria).
Peak positions follow from Bragg's law for the DFT cell and can differ from measured ones.

Cell and atoms:
```
data_Ag2WO4
_chemical_formula_sum 'Ag16 W8 O32'
_cell_length_a 6.2191
_cell_length_b 10.3828
_cell_length_c 12.6042
_cell_angle_alpha 90.00
_cell_angle_beta 90.00
_cell_angle_gamma 90.00
_symmetry_space_group_name_H-M 'P 1'
_symmetry_Int_Tables_number 1
loop_
_symmetry_equiv_pos_as_xyz
'x,y,z'
loop_
_atom_site_label
_atom_site_type_symbol
_atom_site_fract_x
_atom_site_fract_y
_atom_site_fract_z
_atom_site_occupancy
Ag1 Ag 0.0000 0.0000 0.0000 1
Ag2 Ag 0.0000 0.0000 0.2855 1
Ag3 Ag 0.0000 0.0000 0.7145 1
Ag4 Ag 0.0000 0.5000 0.0000 1
Ag5 Ag 0.0103 0.2470 0.1492 1
Ag6 Ag 0.0103 0.2470 0.8508 1
Ag7 Ag 0.4897 0.7470 0.3508 1
Ag8 Ag 0.4897 0.7470 0.6492 1
Ag9 Ag 0.5000 0.0000 0.5000 1
Ag10 Ag 0.5000 0.5000 0.2145 1
Ag11 Ag 0.5000 0.5000 0.5000 1
Ag12 Ag 0.5000 0.5000 0.7855 1
Ag13 Ag 0.5103 0.2530 0.3508 1
Ag14 Ag 0.5103 0.2530 0.6492 1
Ag15 Ag 0.9897 0.7530 0.1492 1
Ag16 Ag 0.9897 0.7530 0.8508 1
W1 W 0.0000 0.5000 0.3599 1
W2 W 0.0000 0.5000 0.6401 1
W3 W 0.0105 0.2279 0.5000 1
W4 W 0.4895 0.7279 0.0000 1
W5 W 0.5000 0.0000 0.1401 1
W6 W 0.5000 0.0000 0.8599 1
W7 W 0.5105 0.2721 0.0000 1
W8 W 0.9895 0.7721 0.5000 1
O1 O 0.1594 0.4166 0.5000 1
O2 O 0.1669 0.6544 0.3915 1
O3 O 0.1669 0.6544 0.6085 1
O4 O 0.1822 0.1748 0.3890 1
O5 O 0.1822 0.1748 0.6110 1
O6 O 0.1886 0.4246 0.2686 1
O7 O 0.1886 0.4246 0.7314 1
O8 O 0.2071 0.8897 0.5000 1
O9 O 0.2929 0.3897 0.0000 1
O10 O 0.3114 0.9246 0.2314 1
O11 O 0.3114 0.9246 0.7686 1
O12 O 0.3178 0.6748 0.1110 1
O13 O 0.3178 0.6748 0.8890 1
O14 O 0.3331 0.1544 0.1085 1
O15 O 0.3331 0.1544 0.8915 1
O16 O 0.3406 0.9166 0.0000 1
O17 O 0.6594 0.0834 0.0000 1
O18 O 0.6669 0.8456 0.1085 1
O19 O 0.6669 0.8456 0.8915 1
O20 O 0.6822 0.3252 0.1110 1
O21 O 0.6822 0.3252 0.8890 1
O22 O 0.6886 0.0754 0.2314 1
O23 O 0.6886 0.0754 0.7686 1
O24 O 0.7071 0.6103 0.0000 1
O25 O 0.7929 0.1103 0.5000 1
O26 O 0.8114 0.5754 0.2686 1
O27 O 0.8114 0.5754 0.7314 1
O28 O 0.8178 0.8252 0.3890 1
O29 O 0.8178 0.8252 0.6110 1
O30 O 0.8331 0.3456 0.3915 1
O31 O 0.8331 0.3456 0.6085 1
O32 O 0.8406 0.5834 0.5000 1
```

Most intense lines, 2θ = 10–90°, low angle first:
d_spacing	I_rel
5.577	6
3.110	30
2.892	100
2.713	10
2.596	18
1.993	22
1.750	23
1.741	7
1.550	15
1.446	6